# Sr2InSn3Ir2
Calculated XRD peak list, Cu Kα (weighted mean of Kα1 and Kα2). Input: a DFT-relaxed cell (GGA-PBE, OQMD).
No peak broadening, texture or thermal motion is included.

Main lines, low angle first (2θ from 10° to 90°):
2theta, I (rel.)
15.54, 89
31.66, 100
33.07, 52
33.19, 49
33.42, 32
38.82, 34
39.05, 62
40.69, 62
41.22, 86
60.56, 35

Atomic structure:
Unit cell a=6.1167 b=6.1167 c=7.7468 alpha=90.38 beta=90.38 gamma=42.51
Fractional positions:
Sr1 0.0000 0.0000 0.0000
Sr2 0.1268 0.1268 0.5009
In1 0.7130 0.7130 0.1996
Sn1 0.4069 0.4069 0.2980
Sn2 0.4127 0.4127 0.6969
Sn3 0.7161 0.7161 0.8023
Ir1 0.2788 0.2788 0.9922
Ir2 0.8495 0.8495 0.5038

---

# Y3In2SnIr3
Calculated XRD peak list, Cu Kα (weighted mean of Kα1 and Kα2). Input: a DFT-relaxed cell (GGA-PBE, OQMD).
No peak broadening, texture or thermal motion is included.

Main lines, low angle first (2θ from 10° to 90°):
2theta, I (rel.)
23.60, 36
26.34, 34
32.80, 61
32.91, 36
35.60, 52
35.73, 100
36.41, 34
41.66, 55
43.20, 61
45.84, 42

Atomic structure:
Unit cell a=3.9592 b=7.5400 c=7.5400 alpha=120.39 beta=90.00 gamma=90.00
Fractional positions:
Y1 0.0000 0.0000 0.0000
Y2 0.0000 0.1875 0.5939
Y3 0.0000 0.5939 0.1875
In1 0.5000 0.5949 0.8526
In2 0.5000 0.8526 0.5949
Sn1 0.5000 0.3372 0.3372
Ir1 0.0000 0.5870 0.5870
Ir2 0.5000 0.2632 0.9329
Ir3 0.5000 0.9329 0.2632

---

# SrIn8Ir2
Calculated XRD peak list, Cu Kα (weighted mean of Kα1 and Kα2). Input: a DFT-relaxed cell (GGA-PBE, OQMD).
No peak broadening, texture or thermal motion is included.

Main lines, low angle first (2θ from 10° to 90°):
2theta, I (rel.)
12.57, 28
13.74, 34
30.43, 55
32.32, 78
33.03, 24
38.81, 40
38.95, 30
39.30, 81
39.59, 67
40.71, 100

Atomic structure:
Unit cell a=14.0255 b=16.3369 c=4.4342 alpha=90.00 beta=90.00 gamma=90.00
Fractional positions:
Sr1 0.1578 0.1808 0.0000
Sr2 0.3422 0.6808 0.0000
Sr3 0.6578 0.3192 0.0000
Sr4 0.8422 0.8192 0.0000
In1 0.0000 0.0000 0.0000
In2 0.0000 0.5000 0.5000
In3 0.0192 0.8663 0.5000
In4 0.0513 0.3166 0.5000
In5 0.1003 0.7470 0.0000
In6 0.1599 0.4558 0.0000
In7 0.1671 0.6223 0.5000
In8 0.1697 0.0116 0.5000
In9 0.2400 0.8224 0.5000
In10 0.2600 0.3224 0.5000
In11 0.3303 0.5116 0.5000
In12 0.3329 0.1223 0.5000
In13 0.3401 0.9558 0.0000
In14 0.3997 0.2470 0.0000
In15 0.4487 0.8166 0.5000
In16 0.4808 0.3663 0.5000
In17 0.5000 0.0000 0.5000
In18 0.5000 0.5000 0.0000
In19 0.5192 0.6337 0.5000
In20 0.5513 0.1834 0.5000
In21 0.6003 0.7530 0.0000
In22 0.6599 0.0442 0.0000
In23 0.6671 0.8777 0.5000
In24 0.6697 0.4884 0.5000
In25 0.7400 0.6776 0.5000
In26 0.7600 0.1776 0.5000
In27 0.8303 0.9884 0.5000
In28 0.8329 0.3777 0.5000
In29 0.8401 0.5442 0.0000
In30 0.8997 0.2530 0.0000
In31 0.9487 0.6834 0.5000
In32 0.9808 0.1337 0.5000
Ir1 0.0345 0.5963 0.0000
Ir2 0.1540 0.9036 0.0000
Ir3 0.3460 0.4036 0.0000
Ir4 0.4655 0.0963 0.0000
Ir5 0.5345 0.9037 0.0000
Ir6 0.6540 0.5964 0.0000
Ir7 0.8460 0.0964 0.0000
Ir8 0.9655 0.4037 0.0000

---

# TbYIn4Ir2
Calculated XRD peak list, Cu Kα (weighted mean of Kα1 and Kα2). Input: a DFT-relaxed cell (GGA-PBE, OQMD).
No peak broadening, texture or thermal motion is included.

Main lines, low angle first (2θ from 10° to 90°):
2theta, I (rel.)
17.31, 34
31.66, 96
35.28, 100
36.85, 35
40.48, 42
40.68, 54
41.65, 48
41.88, 25
45.36, 25
67.55, 22

Atomic structure:
Unit cell a=8.0012 b=5.5626 c=5.5626 alpha=45.88 beta=90.00 gamma=90.00
Fractional positions:
Tb1 0.0000 0.0000 0.0000
Y1 0.5000 0.8565 0.8565
In1 0.2003 0.2856 0.2856
In2 0.3002 0.5707 0.5707
In3 0.6998 0.5707 0.5707
In4 0.7997 0.2856 0.2856
Ir1 0.0000 0.7076 0.7076
Ir2 0.5000 0.1485 0.1485

---

# Y2TmIn3Ir2
Calculated XRD peak list, Cu Kα (weighted mean of Kα1 and Kα2). Input: a DFT-relaxed cell (GGA-PBE, OQMD).
No peak broadening, texture or thermal motion is included.

Main lines, low angle first (2θ from 10° to 90°):
2theta, I (rel.)
13.44, 33
24.30, 16
33.99, 100
36.06, 52
36.16, 22
36.71, 69
43.97, 19
49.79, 22
63.01, 28
70.34, 17

Atomic structure:
Unit cell a=3.6633 b=7.5942 c=7.5942 alpha=119.80 beta=90.00 gamma=90.00
Fractional positions:
Y1 0.0000 0.2104 0.7896
Y2 0.0000 0.7896 0.2104
Tm1 0.0000 0.3672 0.3672
In1 0.5000 0.0264 0.0264
In2 0.5000 0.5545 0.7885
In3 0.5000 0.7885 0.5545
Ir1 0.5000 0.1279 0.4548
Ir2 0.5000 0.4548 0.1279

---

# In2Ir2W3
Calculated XRD peak list, Cu Kα (weighted mean of Kα1 and Kα2). Input: a DFT-relaxed cell (GGA-PBE, OQMD).
No peak broadening, texture or thermal motion is included.

Main lines, low angle first (2θ from 10° to 90°):
2theta, I (rel.)
13.02, 6
24.50, 6
38.60, 100
40.16, 96
56.93, 32
68.79, 15
71.95, 32
72.99, 17
82.76, 9
86.74, 11

Atomic structure:
Unit cell a=7.2785 b=7.2785 c=7.2785 alpha=35.93 beta=35.93 gamma=35.93
Fractional positions:
In1 0.0000 0.0000 0.0000
In2 0.4264 0.4264 0.4264
Ir1 0.1516 0.1516 0.1516
Ir2 0.7054 0.7054 0.7054
W1 0.2764 0.2764 0.2764
W2 0.5681 0.5681 0.5681
W3 0.8547 0.8547 0.8547

---

# KNdInSe3
Calculated XRD peak list, Cu Kα (weighted mean of Kα1 and Kα2). Input: a DFT-relaxed cell (GGA-PBE, OQMD).
No peak broadening, texture or thermal motion is included.

Main lines, low angle first (2θ from 10° to 90°):
2theta, I (rel.)
12.06, 100
26.40, 17
27.21, 31
30.46, 67
31.37, 22
33.72, 17
37.58, 27
39.31, 49
40.06, 14
49.72, 17

Atomic structure:
Unit cell a=7.7199 b=7.7199 c=11.4064 alpha=90.00 beta=90.00 gamma=143.87
Fractional positions:
K1 0.2496 0.7504 0.7500
K2 0.7504 0.2496 0.2500
Nd1 0.0000 0.0000 0.0000
Nd2 0.0000 0.0000 0.5000
In1 0.4887 0.5113 0.2500
In2 0.5113 0.4887 0.7500
Se1 0.0746 0.9254 0.2500
Se2 0.3763 0.6237 0.0617
Se3 0.3763 0.6237 0.4383
Se4 0.6237 0.3763 0.5617
Se5 0.6237 0.3763 0.9383
Se6 0.9254 0.0746 0.7500

---

# K6In2Os
Calculated XRD peak list, Cu Kα (weighted mean of Kα1 and Kα2). Input: a DFT-relaxed cell (GGA-PBE, OQMD).
No peak broadening, texture or thermal motion is included.

Main lines, low angle first (2θ from 10° to 90°):
2theta, I (rel.)
16.26, 68
18.93, 90
21.66, 37
27.48, 82
30.81, 61
31.32, 100
32.08, 35
36.41, 36
45.08, 28
51.04, 24

Atomic structure:
Unit cell a=5.7952 b=5.8116 c=15.9117 alpha=90.00 beta=90.00 gamma=90.00
Fractional positions:
K1 0.0000 0.0000 0.0000
K2 0.0000 0.0000 0.5000
K3 0.0000 0.5000 0.1495
K4 0.0000 0.5000 0.8505
K5 0.5000 0.0000 0.1482
K6 0.5000 0.0000 0.8518
In1 0.0000 0.0000 0.2810
In2 0.0000 0.0000 0.7190
Os1 0.5000 0.5000 0.0000

---

# KTmIn
Calculated XRD peak list, Cu Kα (weighted mean of Kα1 and Kα2). Input: a DFT-relaxed cell (GGA-PBE, OQMD).
No peak broadening, texture or thermal motion is included.

Main lines, low angle first (2θ from 10° to 90°):
2theta, I (rel.)
10.14, 62
30.74, 100
37.15, 23
37.45, 14
38.29, 13
49.22, 8
49.89, 8
54.65, 15
63.43, 10
64.57, 10

Atomic structure:
Unit cell a=9.0327 b=9.0327 c=4.8026 alpha=90.00 beta=90.00 gamma=149.83
Fractional positions:
K1 0.0000 0.0000 0.0000
K2 0.5000 0.5000 0.5000
Tm1 0.1841 0.8159 0.5000
Tm2 0.8159 0.1841 0.5000
In1 0.3158 0.6842 0.0000
In2 0.6842 0.3158 0.0000

---

# LaNd2In3Ni3
Calculated XRD peak list, Cu Kα (weighted mean of Kα1 and Kα2). Input: a DFT-relaxed cell (GGA-PBE, OQMD).
No peak broadening, texture or thermal motion is included.

Main lines, low angle first (2θ from 10° to 90°):
2theta, I (rel.)
32.69, 100
35.52, 82
36.19, 21
36.34, 40
41.30, 13
43.09, 10
45.64, 23
59.63, 19
59.72, 9
66.62, 17

Atomic structure:
Unit cell a=3.9752 b=7.5513 c=7.5513 alpha=119.71 beta=90.00 gamma=90.00
Fractional positions:
La1 0.0000 0.0000 0.0000
Nd1 0.0000 0.1702 0.5832
Nd2 0.0000 0.5832 0.1702
In1 0.5000 0.3415 0.3415
In2 0.5000 0.5806 0.8300
In3 0.5000 0.8300 0.5806
Ni1 0.0000 0.5855 0.5855
Ni2 0.5000 0.2490 0.9182
Ni3 0.5000 0.9182 0.2490

---

# LaIn6Ni3
Calculated XRD peak list, Cu Kα (weighted mean of Kα1 and Kα2). Input: a DFT-relaxed cell (GGA-PBE, OQMD).
No peak broadening, texture or thermal motion is included.

Main lines, low angle first (2θ from 10° to 90°):
2theta, I (rel.)
31.86, 100
32.16, 73
35.79, 60
37.77, 29
38.76, 16
40.88, 58
41.64, 48
52.95, 13
56.87, 17
62.12, 20

Atomic structure:
Unit cell a=4.4151 b=7.6306 c=12.1959 alpha=90.00 beta=90.00 gamma=90.00
Fractional positions:
La1 0.2500 0.2500 0.1779
La2 0.7500 0.7500 0.8221
In1 0.2500 0.0516 0.9163
In2 0.2500 0.2500 0.4882
In3 0.2500 0.4484 0.9163
In4 0.2500 0.5434 0.6611
In5 0.2500 0.7500 0.2489
In6 0.2500 0.9566 0.6611
In7 0.7500 0.0434 0.3389
In8 0.7500 0.2500 0.7511
In9 0.7500 0.4566 0.3389
In10 0.7500 0.5516 0.0837
In11 0.7500 0.7500 0.5118
In12 0.7500 0.9484 0.0837
Ni1 0.2500 0.5764 0.4344
Ni2 0.2500 0.7500 0.0340
Ni3 0.2500 0.9236 0.4344
Ni4 0.7500 0.0764 0.5656
Ni5 0.7500 0.2500 0.9660
Ni6 0.7500 0.4236 0.5656

---

# LaInNiPt
Calculated XRD peak list, Cu Kα (weighted mean of Kα1 and Kα2). Input: a DFT-relaxed cell (GGA-PBE, OQMD).
No peak broadening, texture or thermal motion is included.

Main lines, low angle first (2θ from 10° to 90°):
2theta, I (rel.)
19.02, 14
22.34, 26
29.50, 23
36.67, 100
39.21, 91
54.77, 31
64.31, 16
69.41, 31
71.07, 15
84.31, 10

Atomic structure:
Unit cell a=4.5946 b=4.5946 c=9.3313 alpha=90.00 beta=90.00 gamma=120.00
Fractional positions:
La1 0.0000 0.0000 0.0000
La2 0.3333 0.6667 0.5000
In1 0.6667 0.3333 0.2395
In2 0.6667 0.3333 0.7605
Ni1 0.3333 0.6667 0.1779
Ni2 0.3333 0.6667 0.8221
Pt1 0.0000 0.0000 0.3212
Pt2 0.0000 0.0000 0.6788

---

Please write out number 1 again, unchanged.
# Sr2InSn3Ir2
Calculated XRD peak list, Cu Kα (weighted mean of Kα1 and Kα2). Input: a DFT-relaxed cell (GGA-PBE, OQMD).
No peak broadening, texture or thermal motion is included.

Main lines, low angle first (2θ from 10° to 90°):
2theta, I (rel.)
15.54, 89
31.66, 100
33.07, 52
33.19, 49
33.42, 32
38.82, 34
39.05, 62
40.69, 62
41.22, 86
60.56, 35

Atomic structure:
Unit cell a=6.1167 b=6.1167 c=7.7468 alpha=90.38 beta=90.38 gamma=42.51
Fractional positions:
Sr1 0.0000 0.0000 0.0000
Sr2 0.1268 0.1268 0.5009
In1 0.7130 0.7130 0.1996
Sn1 0.4069 0.4069 0.2980
Sn2 0.4127 0.4127 0.6969
Sn3 0.7161 0.7161 0.8023
Ir1 0.2788 0.2788 0.9922
Ir2 0.8495 0.8495 0.5038

---

Repeat the twelfth record exactly.
# LaInNiPt
Calculated XRD peak list, Cu Kα (weighted mean of Kα1 and Kα2). Input: a DFT-relaxed cell (GGA-PBE, OQMD).
No peak broadening, texture or thermal motion is included.

Main lines, low angle first (2θ from 10° to 90°):
2theta, I (rel.)
19.02, 14
22.34, 26
29.50, 23
36.67, 100
39.21, 91
54.77, 31
64.31, 16
69.41, 31
71.07, 15
84.31, 10

Atomic structure:
Unit cell a=4.5946 b=4.5946 c=9.3313 alpha=90.00 beta=90.00 gamma=120.00
Fractional positions:
La1 0.0000 0.0000 0.0000
La2 0.3333 0.6667 0.5000
In1 0.6667 0.3333 0.2395
In2 0.6667 0.3333 0.7605
Ni1 0.3333 0.6667 0.1779
Ni2 0.3333 0.6667 0.8221
Pt1 0.0000 0.0000 0.3212
Pt2 0.0000 0.0000 0.6788

---

Please write out number 9 again, unchanged.
# KTmIn
Calculated XRD peak list, Cu Kα (weighted mean of Kα1 and Kα2). Input: a DFT-relaxed cell (GGA-PBE, OQMD).
No peak broadening, texture or thermal motion is included.

Main lines, low angle first (2θ from 10° to 90°):
2theta, I (rel.)
10.14, 62
30.74, 100
37.15, 23
37.45, 14
38.29, 13
49.22, 8
49.89, 8
54.65, 15
63.43, 10
64.57, 10

Atomic structure:
Unit cell a=9.0327 b=9.0327 c=4.8026 alpha=90.00 beta=90.00 gamma=149.83
Fractional positions:
K1 0.0000 0.0000 0.0000
K2 0.5000 0.5000 0.5000
Tm1 0.1841 0.8159 0.5000
Tm2 0.8159 0.1841 0.5000
In1 0.3158 0.6842 0.0000
In2 0.6842 0.3158 0.0000